Starting from a DFT-relaxed cell (GGA-PBE, Alexandria), the XRD peak list of Cs2PaBi2Se6 was simulated for Cu Kα X-rays.
Lines closer than 0.1° are merged.

Cell and atoms:
abc: 7.4395 12.8557 8.9826
angles: 90.00 106.66 90.00
Space group C2/m (No. 12)
Asymmetric unit:
Cs 0.0000 0.1699 0.0000
Pa 0.0000 0.0000 0.5000
Bi 0.0000 0.3321 0.5000
Se 0.2264 0.1621 0.6864
Se 0.2423 0.5000 0.6859

Most intense lines, 10° ≤ 2θ ≤ 90°, in order of rising 2θ:
| 2θ/deg | Rel. int. | h k l |
| --- | --- | --- |
| 10.3 | 86 | 0 0 1 |
| 20.6 | 18 | 0 0 2 |
| 24.9 | 22 | 1 3 -1 |
| 27.5 | 50 | 2 0 -2 |
| 27.8 | 100 | 1 3 1 |
| 34.4 | 19 | 1 3 2 |
| 36.8 | 35 | 1 3 -3 |
| 37.1 | 19 | 2 0 2 |
| 42.1 | 53 | 0 6 0 |
| 51.1 | 18 | 2 6 -2 |

***

Starting from a DFT-relaxed cell (GGA-PBE, Alexandria), the XRD peak list of Zn2Bi6Ru8O27 was simulated for Cu Kα X-rays.
Lines closer than 0.1° are merged.

Cell and atoms:
abc: 10.3312 10.2563 10.3100
angles: 90.00 90.78 90.00
Space group C2 (No. 5)
Asymmetric unit:
Zn 0.0801 0.0000 0.1487
Bi 0.1267 0.2279 0.3720
Bi 0.1317 0.7291 0.8857
Bi 0.1331 0.4716 0.6383
Ru 0.1223 0.4761 0.1267
Ru 0.1231 0.7276 0.3729
Ru 0.1272 0.9766 0.6228
Ru 0.1282 0.2237 0.8746
O 0.0000 0.0501 0.5000
O 0.0000 0.1113 0.0000
O 0.9998 0.3496 0.2100
O 0.0000 0.3540 0.5000
O 0.0000 0.5539 0.0000
O 0.0000 0.6670 0.5000
O 0.0031 0.8597 0.2807
O 0.0351 0.6016 0.2488
O 0.0503 0.1080 0.7421
O 0.1867 0.3382 0.0146
O 0.2042 0.8515 0.4974
O 0.2363 0.6091 0.0640
O 0.2388 0.0966 0.2165
O 0.2447 0.3061 0.7479
O 0.2455 0.5988 0.4480
O 0.2489 0.3890 0.2529

Most intense lines, 10° ≤ 2θ ≤ 90°, in order of rising 2θ:
| 2θ/deg | Rel. int. | h k l |
| --- | --- | --- |
| 29.9 | 100 | 2 2 -2 |
| 30.2 | 98 | 2 2 2 |
| 34.8 | 45 | 0 0 4 |
| 35.0 | 23 | 0 4 0 |
| 49.6 | 13 | 4 0 -4 |
| 50.2 | 57 | 0 4 4 |
| 50.4 | 14 | 4 0 4 |
| 59.2 | 25 | 2 2 -6 |
| 59.7 | 39 | 2 6 -2 |
| 59.8 | 15 | 2 6 2 |

***

Starting from a DFT-relaxed cell (GGA-PBE, Alexandria), the XRD peak list of LiGe2As3 was simulated for Cu Kα X-rays.
Lines closer than 0.1° are merged.

Cell and atoms:
abc: 6.9889 12.4029 6.9182
angles: 90.00 108.11 90.00
Space group Cc (No. 9)
Asymmetric unit:
Li 0.0000 0.0729 0.0000
Ge 0.4720 0.0858 0.5040
Ge 0.4970 0.2424 0.0073
As 0.1099 0.0980 0.3724
As 0.1149 0.2489 0.8903
As 0.1196 0.4245 0.3833

Most intense lines, 10° ≤ 2θ ≤ 90°, in order of rising 2θ:
| 2θ/deg | Rel. int. | h k l |
| --- | --- | --- |
| 15.1 | 14 | 1 1 0 |
| 26.8 | 100 | 1 3 -1 |
| 27.1 | 34 | 0 0 2 |
| 43.8 | 16 | 0 6 0 |
| 44.4 | 17 | 2 0 2 |
| 44.7 | 31 | 3 3 -1 |
| 45.0 | 32 | 1 3 -3 |
| 52.3 | 10 | 0 6 2 |
| 52.4 | 11 | 3 3 1 |
| 64.1 | 10 | 2 6 2 |

***

Starting from a DFT-relaxed cell (GGA-PBE, Alexandria), the XRD peak list of Cr8Re7 was simulated for Cu Kα X-rays.
Lines closer than 0.1° are merged.

Cell and atoms:
abc: 9.2691 9.2691 4.6912
angles: 90.00 90.00 90.00
Space group P4_2/mnm (No. 136)
Asymmetric unit:
Cr 0.0655 0.2578 0.0000
Cr 0.1874 0.8126 0.2516
Re 0.0000 0.0000 0.0000
Re 0.0347 0.3656 0.5000
Re 0.1025 0.1025 0.5000

Most intense lines, 10° ≤ 2θ ≤ 90°, in order of rising 2θ:
| 2θ/deg | Rel. int. | h k l |
| --- | --- | --- |
| 19.2 | 30 | 2 0 0 |
| 28.7 | 21 | 2 1 1 |
| 36.1 | 22 | 3 1 1 |
| 38.4 | 30 | 0 0 2 |
| 40.1 | 28 | 4 1 0 |
| 41.3 | 24 | 3 3 0 |
| 43.2 | 25 | 2 0 2 |
| 44.7 | 100 | 4 1 1 |
| 45.8 | 26 | 3 3 1 |
| 73.8 | 23 | 4 1 3 |

***

Starting from a DFT-relaxed cell (GGA-PBE, Alexandria), the XRD peak list of TbEr2PaTc2 was simulated for Cu Kα X-rays.
Lines closer than 0.1° are merged.

Cell and atoms:
abc: 4.2549 8.4215 8.0477
angles: 90.00 90.00 90.00
Space group Pmc2_1 (No. 26)
Asymmetric unit:
Tb 0.0000 0.0773 0.0000
Er 0.0000 0.3146 0.3604
Er 0.5000 0.4233 0.0432
Pa 0.5000 0.1805 0.6886
Tc 0.0000 0.3407 0.7288
Tc 0.5000 0.1071 0.2719

Most intense lines, 10° ≤ 2θ ≤ 90°, in order of rising 2θ:
| 2θ/deg | Rel. int. | h k l |
| --- | --- | --- |
| 30.6 | 36 | 1 0 2 |
| 30.7 | 25 | 0 2 2 |
| 31.9 | 87 | 1 2 1 |
| 32.4 | 100 | 1 1 2 |
| 33.8 | 28 | 0 3 1 |
| 35.1 | 54 | 0 1 3 |
| 38.4 | 42 | 1 3 0 |
| 42.5 | 43 | 2 0 0 |
| 56.3 | 30 | 2 1 3 |
| 59.9 | 40 | 1 4 3 |

***

Starting from a DFT-relaxed cell (GGA-PBE, Alexandria), the XRD peak list of Mn2Hg was simulated for Cu Kα X-rays.
Lines closer than 0.1° are merged.

Cell and atoms:
abc: 2.9924 2.9924 13.0348
angles: 90.00 90.00 120.00
Space group P-6m2 (No. 187)
Asymmetric unit:
Mn 0.0000 0.0000 0.0000
Mn 0.0000 0.0000 0.3597
Mn 0.3333 0.6667 0.5000
Hg 0.3333 0.6667 0.1786

Most intense lines, 10° ≤ 2θ ≤ 90°, in order of rising 2θ:
| 2θ/deg | Rel. int. | h k l |
| --- | --- | --- |
| 13.6 | 18 | 0 0 2 |
| 20.4 | 26 | 0 0 3 |
| 34.6 | 42 | 1 0 0 |
| 37.3 | 20 | 1 0 2 |
| 40.5 | 100 | 1 0 3 |
| 41.6 | 15 | 0 0 6 |
| 55.2 | 20 | 1 0 6 |
| 62.0 | 18 | 1 1 0 |
| 76.8 | 15 | 2 0 3 |
| 77.5 | 14 | 1 1 6 |

***

Starting from a DFT-relaxed cell (GGA-PBE, Alexandria), the XRD peak list of Ce4RuPt was simulated for Cu Kα X-rays.
Lines closer than 0.1° are merged.

Cell and atoms:
abc: 8.5906 12.2592 6.0183
angles: 90.00 116.68 90.00
Space group C2/c (No. 15)
Asymmetric unit:
Ce 0.1217 0.1835 0.0927
Ce 0.1844 0.4102 0.3141
Ru 0.0000 0.0000 0.2500
Pt 0.0000 0.3777 0.7500

Most intense lines, 10° ≤ 2θ ≤ 90°, in order of rising 2θ:
| 2θ/deg | Rel. int. | h k l |
| --- | --- | --- |
| 30.8 | 51 | 1 1 -2 |
| 32.1 | 100 | 3 1 -1 |
| 33.7 | 35 | 0 4 1 |
| 34.2 | 25 | 2 2 -2 |
| 36.5 | 41 | 2 4 -1 |
| 37.3 | 60 | 1 3 -2 |
| 37.4 | 84 | 2 2 1 |
| 38.5 | 60 | 1 5 0 |
| 41.6 | 24 | 3 3 0 |
| 54.1 | 32 | 4 2 -3 |

***

Starting from a DFT-relaxed cell (GGA-PBE, Alexandria), the XRD peak list of PaAg3S4 was simulated for Cu Kα X-rays.
Lines closer than 0.1° are merged.

Cell and atoms:
abc: 9.1156 7.7406 5.4691
angles: 90.00 90.00 90.00
Space group Pmn2_1 (No. 31)
Asymmetric unit:
Pa 0.0000 0.1736 0.0000
Ag 0.0000 0.8454 0.5006
Ag 0.2495 0.3296 0.4988
S 0.0000 0.1764 0.4999
S 0.0000 0.8414 0.0003
S 0.2496 0.3294 0.9994

Most intense lines, 10° ≤ 2θ ≤ 90°, in order of rising 2θ:
| 2θ/deg | Rel. int. | h k l |
| --- | --- | --- |
| 22.6 | 73 | 2 1 0 |
| 23.0 | 40 | 0 2 0 |
| 28.0 | 100 | 2 1 1 |
| 28.2 | 47 | 0 2 1 |
| 32.7 | 59 | 0 0 2 |
| 39.5 | 34 | 4 0 0 |
| 40.2 | 96 | 2 3 0 |
| 49.3 | 23 | 4 2 1 |
| 52.3 | 30 | 4 0 2 |
| 52.8 | 57 | 2 3 2 |